This entry pairs a crystal structure of CaSi7Rh3 with its computed XRD peak list. Radiation: Cu Kα, 1.54184 Å. Structure: the GGA-PBE geometry in Alexandria.
Peak positions follow from Bragg's law for the DFT cell and can differ from measured ones.

Cell and atoms:
abc: 7.6222 7.6222 20.0812
angles: 90.00 90.00 120.00
Space group R-3c (No. 167, hexagonal axes)
One atom of each set of equivalent atoms:
Ca  0.0000  0.0000  0.0000 x6
Si  0.0000  0.0000  0.2500 x6
Si  0.0125  0.2034  0.1370 x36
Rh  0.0000  0.3196  0.2500 x18

Top 8 peaks for 2θ from 10° to 90°, most intense first:
2θ (°), Rel. int., (hkl)
26.92, 100.0, 1 1 3
47.20, 45.4, 1 1 9
49.75, 36.1, 2 2 3
41.02, 33.7, 3 0 0
49.58, 33.1, 0 3 6
35.70, 24.1, 1 1 6
66.38, 18.5, 4 1 3
70.73, 18.1, 3 0 12